NaMnZnCu2: simulated PXRD pattern (λ = 1.5418 Å (Cu Kα)), based on a PBE-relaxed structure.
Kinematic intensities with the Lorentz-polarization factor, no thermal factor.

Crystal structure
```
data_NaMnZnCu2
_cell_length_a 4.6382
_cell_length_b 4.6382
_cell_length_c 4.7683
_cell_angle_alpha 90.00
_cell_angle_beta 90.00
_cell_angle_gamma 90.00
_space_group_name_H-M_alt 'P 1'
_space_group_IT_number 1
_space_group_name_Hall 'P 1'
loop_
_atom_site_label
_atom_site_type_symbol
_atom_site_fract_x
_atom_site_fract_y
_atom_site_fract_z
_atom_site_occupancy
Na1 Na 0.0000 0.0000 0.0000 1
Mn1 Mn 0.5000 0.5000 0.0000 1
Zn1 Zn 0.5000 0.5000 0.5000 1
Cu1 Cu 0.0000 0.5000 0.5000 1
Cu2 Cu 0.5000 0.0000 0.5000 1
```

The 10 most intense peaks (2θ from 5° to 70°), by angle:
two_theta, I (rel.), hkl
18.61, 631, 0 0 1
19.13, 791, 1 0 0
33.15, 808, 1 1 1
37.73, 543, 0 0 2
38.83, 1000, 2 0 0
42.64, 191, 1 0 2
43.39, 291, 2 0 1
55.26, 669, 2 0 2
56.08, 319, 2 2 0
69.58, 314, 2 2 2